1.
# Li4VCo3P4O16
Calculated powder X-ray diffraction pattern, Cu Kα, 1.54184 Å. Input: a DFT-relaxed cell (GGA+U, Alexandria).
Kinematic intensities with the Lorentz-polarization factor, no thermal factor.

Crystal structure
```
data_Li4VCo3P4O16
_cell_length_a 4.762
_cell_length_b 6.009
_cell_length_c 10.362
_cell_angle_alpha 90.00
_cell_angle_beta 90.06
_cell_angle_gamma 90.00
_symmetry_space_group_name_H-M 'P 1 m 1'
_symmetry_Int_Tables_number 6
loop_
_symmetry_equiv_pos_as_xyz
'x,y,z'
'x,-y,z'
loop_
_atom_site_label
_atom_site_type_symbol
_atom_site_fract_x
_atom_site_fract_y
_atom_site_fract_z
Li1 Li 0.000 0.249 0.000
Li2 Li 0.495 0.251 0.507
V1 V 0.514 0.000 0.226
Co1 Co 0.015 0.500 0.282
Co2 Co 0.480 0.500 0.782
Co3 Co 0.979 0.000 0.721
P1 P 0.077 0.000 0.409
P2 P 0.417 0.000 0.904
P3 P 0.588 0.500 0.094
P4 P 0.916 0.500 0.597
O1 O 0.202 0.000 0.548
O2 O 0.212 0.206 0.338
O3 O 0.239 0.500 0.601
O4 O 0.266 0.500 0.101
O5 O 0.279 0.205 0.833
O6 O 0.295 0.000 0.043
O7 O 0.703 0.500 0.954
O8 O 0.730 0.296 0.164
O9 O 0.739 0.000 0.900
O10 O 0.755 0.000 0.408
O11 O 0.779 0.295 0.668
O12 O 0.795 0.500 0.458
```

Top 6 peaks for 2θ from 10° to 80°, in order of falling intensity:
(hkl), Position (°2θ), d_spacing, I/Imax
1 1 3, 35.41, 2.535, 100
1 1 -1, 25.37, 3.511, 90
0 2 0, 29.74, 3.004, 62
1 0 1, 20.53, 4.327, 56
2 2 2, 52.10, 1.755, 41
0 0 2, 17.11, 5.181, 34



2.
# Li3PaCo4O12
Calculated powder X-ray diffraction pattern, Cu Kα, 1.54184 Å. Input: a DFT-relaxed cell (GGA+U, Alexandria).
Kinematic intensities with the Lorentz-polarization factor, no thermal factor.

Crystal structure
```
data_Li3PaCo4O12
_cell_length_a 7.199
_cell_length_b 7.199
_cell_length_c 7.199
_cell_angle_alpha 90.00
_cell_angle_beta 90.00
_cell_angle_gamma 90.00
_symmetry_space_group_name_H-M 'I m -3'
_symmetry_Int_Tables_number 204
_symmetry_space_group_name_Hall '-I 2 2 3'
loop_
_atom_site_label
_atom_site_type_symbol
_atom_site_fract_x
_atom_site_fract_y
_atom_site_fract_z
Li1 Li 0.000 0.000 0.500
Pa1 Pa 0.000 0.000 0.000
Co1 Co 0.250 0.250 0.250
O1 O 0.000 0.179 0.288
```

Top 6 peaks for 2θ from 10° to 80°, in order of falling intensity:
(hkl), Position (°2θ), d_spacing, I/Imax
1 1 0, 17.42, 5.091, 100
2 2 0, 35.26, 2.545, 64
2 1 1, 30.41, 2.939, 40
3 2 1, 47.24, 1.924, 39
4 2 2, 63.28, 1.470, 32
3 1 0, 39.59, 2.277, 31